Entry 1:
Starting from a structure optimized by DFT (GGA-PBE), the powder diffractogram of Ca3Ti2N4 was calculated for copper Kα.
Lines closer than 0.1° are merged.

The 10 most intense peaks (2θ = 10–90°), low angle first:
- 2θ = 17.93°, 4.947 Å, I 43
- 2θ = 28.16°, 3.168 Å, I 53
- 2θ = 31.82°, 2.812 Å, I 39
- 2θ = 32.84°, 2.727 Å, I 100
- 2θ = 33.30°, 2.690 Å, I 28
- 2θ = 34.05°, 2.633 Å, I 63
- 2θ = 36.37°, 2.470 Å, I 59
- 2θ = 36.78°, 2.444 Å, I 42
- 2θ = 40.66°, 2.219 Å, I 27
- 2θ = 58.93°, 1.567 Å, I 33

Structure:
```
Ca3Ti2N4
1.0
5.8551 0.0000 0.0000
0.0000 10.1181 0.0000
0.0000 0.0000 9.2451
Ca Ti N
12 8 16
direct
0.1159 0.1561 0.0769 Ca
0.1159 0.3439 0.4231 Ca
0.2500 0.0000 0.3992 Ca
0.2500 0.5000 0.1008 Ca
0.3841 0.6561 0.4231 Ca
0.3841 0.8439 0.0769 Ca
0.6159 0.1561 0.9231 Ca
0.6159 0.3439 0.5769 Ca
0.7500 0.0000 0.6008 Ca
0.7500 0.5000 0.8992 Ca
0.8841 0.6561 0.5769 Ca
0.8841 0.8439 0.9231 Ca
0.1399 0.2500 0.7500 Ti
0.2500 0.0000 0.7318 Ti
0.2500 0.5000 0.7682 Ti
0.3601 0.7500 0.7500 Ti
0.6399 0.2500 0.2500 Ti
0.7500 0.0000 0.2682 Ti
0.7500 0.5000 0.2318 Ti
0.8601 0.7500 0.2500 Ti
0.0108 0.5859 0.3328 N
0.0108 0.9141 0.1672 N
0.1560 0.6512 0.8869 N
0.1560 0.8488 0.6131 N
0.3440 0.1512 0.6131 N
0.3440 0.3488 0.8869 N
0.4892 0.0859 0.1672 N
0.4892 0.4141 0.3328 N
0.5108 0.5859 0.6672 N
0.5108 0.9141 0.8328 N
0.6560 0.6512 0.1131 N
0.6560 0.8488 0.3869 N
0.8440 0.1512 0.3869 N
0.8440 0.3488 0.1131 N
0.9892 0.0859 0.8328 N
0.9892 0.4141 0.6672 N
```



Entry 2:
Starting from a structure optimized by DFT (GGA-PBE), the powder diffractogram of ZnSb4O8 was calculated for copper Kα.
Lines closer than 0.1° are merged.

The 10 most intense peaks (2θ = 10–90°), low angle first:
- 2θ = 15.12°, 5.859 Å, I 85
- 2θ = 23.40°, 3.802 Å, I 100
- 2θ = 24.76°, 3.596 Å, I 48
- 2θ = 25.31°, 3.519 Å, I 99
- 2θ = 31.38°, 2.851 Å, I 60
- 2θ = 32.29°, 2.773 Å, I 64
- 2θ = 32.45°, 2.759 Å, I 63
- 2θ = 32.97°, 2.716 Å, I 53
- 2θ = 33.13°, 2.704 Å, I 85
- 2θ = 52.69°, 1.737 Å, I 52

Structure:
```
ZnSb4O8
1.0
7.8238 -1.6141 0.0000
7.8238 1.6141 0.0000
-7.5786 0.0000 8.5635
Zn Sb O
1 4 8
direct
0.0000 0.0000 0.0000 Zn
0.1387 0.1387 0.7909 Sb
0.3305 0.3305 0.4567 Sb
0.6740 0.6740 0.5226 Sb
0.8234 0.8234 0.1382 Sb
0.0674 0.0674 0.4229 O
0.2707 0.2707 0.2039 O
0.2900 0.2900 0.6237 O
0.3025 0.3025 0.9780 O
0.6392 0.6392 0.9063 O
0.6657 0.6657 0.6971 O
0.7070 0.7070 0.3771 O
0.9741 0.9741 0.6194 O
```



Entry 3:
Starting from a structure optimized by DFT (GGA-PBE), the powder diffractogram of Dy3AlC was calculated for copper Kα.
Lines closer than 0.1° are merged.

The 10 most intense peaks (2θ = 10–90°), low angle first:
- 2θ = 18.16°, 4.886 Å, I 25
- 2θ = 25.79°, 3.455 Å, I 15
- 2θ = 31.72°, 2.821 Å, I 100
- 2θ = 36.79°, 2.443 Å, I 55
- 2θ = 41.32°, 2.185 Å, I 12
- 2θ = 53.01°, 1.728 Å, I 38
- 2θ = 63.10°, 1.473 Å, I 42
- 2θ = 66.26°, 1.411 Å, I 13
- 2θ = 86.90°, 1.121 Å, I 18
- 2θ = 89.75°, 1.093 Å, I 18

Structure:
```
Dy3AlC
1.0
4.8863 0.0000 0.0000
0.0000 4.8863 0.0000
0.0000 0.0000 4.8863
Dy Al C
3 1 1
direct
0.0000 0.0000 0.5000 Dy
0.0000 0.5000 0.0000 Dy
0.5000 0.0000 0.0000 Dy
0.5000 0.5000 0.5000 Al
0.0000 0.0000 0.0000 C
```



Entry 4:
Starting from a structure optimized by DFT (GGA-PBE), the powder diffractogram of Sc2Si4Mo3 was calculated for copper Kα.
Lines closer than 0.1° are merged.

The 10 most intense peaks (2θ = 10–90°), low angle first:
- 2θ = 14.78°, 5.993 Å, I 52
- 2θ = 36.57°, 2.457 Å, I 69
- 2θ = 37.09°, 2.424 Å, I 69
- 2θ = 38.80°, 2.321 Å, I 95
- 2θ = 40.38°, 2.234 Å, I 46
- 2θ = 41.29°, 2.186 Å, I 45
- 2θ = 41.76°, 2.163 Å, I 40
- 2θ = 42.79°, 2.113 Å, I 100
- 2θ = 43.37°, 2.086 Å, I 68
- 2θ = 66.24°, 1.411 Å, I 38

Structure:
```
Sc2Si4Mo3
1.0
6.5755 0.0000 0.0000
0.0000 12.6732 0.0000
0.0000 0.0000 6.8020
Sc Si Mo
8 16 12
direct
0.0045 0.0923 0.1703 Sc
0.0045 0.4077 0.1703 Sc
0.4955 0.5923 0.6703 Sc
0.4955 0.9077 0.6703 Sc
0.5045 0.0923 0.3297 Sc
0.5045 0.4077 0.3297 Sc
0.9955 0.5923 0.8297 Sc
0.9955 0.9077 0.8297 Sc
0.0320 0.2500 0.8776 Si
0.1657 0.0450 0.5372 Si
0.1657 0.4550 0.5372 Si
0.2004 0.7500 0.6410 Si
0.2996 0.2500 0.1410 Si
0.3343 0.5450 0.0372 Si
0.3343 0.9550 0.0372 Si
0.4680 0.7500 0.3776 Si
0.5320 0.2500 0.6224 Si
0.6657 0.0450 0.9628 Si
0.6657 0.4550 0.9628 Si
0.7004 0.7500 0.8590 Si
0.7996 0.2500 0.3590 Si
0.8343 0.5450 0.4628 Si
0.8343 0.9550 0.4628 Si
0.9680 0.7500 0.1224 Si
0.1647 0.2500 0.4949 Mo
0.1711 0.6244 0.3350 Mo
0.1711 0.8756 0.3350 Mo
0.3289 0.1244 0.8350 Mo
0.3289 0.3756 0.8350 Mo
0.3353 0.7500 0.9949 Mo
0.6647 0.2500 0.0051 Mo
0.6711 0.6244 0.1650 Mo
0.6711 0.8756 0.1650 Mo
0.8289 0.1244 0.6650 Mo
0.8289 0.3756 0.6650 Mo
0.8353 0.7500 0.5051 Mo
```



Entry 5:
Starting from a structure optimized by DFT (GGA-PBE), the powder diffractogram of Sr3N2 was calculated for copper Kα.
Lines closer than 0.1° are merged.

The 10 most intense peaks (2θ = 10–90°), low angle first:
- 2θ = 17.59°, 5.043 Å, I 12
- 2θ = 27.01°, 3.301 Å, I 87
- 2θ = 28.91°, 3.088 Å, I 100
- 2θ = 34.04°, 2.634 Å, I 67
- 2θ = 41.35°, 2.184 Å, I 84
- 2θ = 51.24°, 1.783 Å, I 16
- 2θ = 54.60°, 1.681 Å, I 50
- 2θ = 58.87°, 1.569 Å, I 38
- 2θ = 70.73°, 1.332 Å, I 15
- 2θ = 88.94°, 1.100 Å, I 17

Structure:
```
Sr3N2
1.0
-6.1762 6.1762 6.1762
6.1762 -6.1762 6.1762
6.1762 6.1762 -6.1762
Sr N
24 16
direct
0.0051 0.4601 0.7331 Sr
0.0399 0.0450 0.2730 Sr
0.0450 0.2730 0.0399 Sr
0.2270 0.2720 0.7669 Sr
0.2280 0.4550 0.4949 Sr
0.2331 0.7730 0.7280 Sr
0.2669 0.9949 0.5399 Sr
0.2720 0.7669 0.2270 Sr
0.2730 0.0399 0.0450 Sr
0.4550 0.4949 0.2280 Sr
0.4601 0.7331 0.0051 Sr
0.4949 0.2280 0.4550 Sr
0.5051 0.7720 0.5450 Sr
0.5399 0.2669 0.9949 Sr
0.5450 0.5051 0.7720 Sr
0.7270 0.9601 0.9550 Sr
0.7280 0.2331 0.7730 Sr
0.7331 0.0051 0.4601 Sr
0.7669 0.2270 0.2720 Sr
0.7720 0.5450 0.5051 Sr
0.7730 0.7280 0.2331 Sr
0.9550 0.7270 0.9601 Sr
0.9601 0.9550 0.7270 Sr
0.9949 0.5399 0.2669 Sr
0.0000 0.0000 0.0000 N
0.0000 0.5000 0.5000 N
0.0444 0.7944 0.2500 N
0.2056 0.7500 0.9556 N
0.2500 0.0444 0.7944 N
0.2500 0.5444 0.2944 N
0.2944 0.2500 0.5444 N
0.4556 0.7056 0.7500 N
0.5000 0.0000 0.5000 N
0.5000 0.5000 0.0000 N
0.5444 0.2944 0.2500 N
0.7056 0.7500 0.4556 N
0.7500 0.4556 0.7056 N
0.7500 0.9556 0.2056 N
0.7944 0.2500 0.0444 N
0.9556 0.2056 0.7500 N
```



Entry 6:
Starting from a structure optimized by DFT (GGA-PBE), the powder diffractogram of BeH16C4S2Cl2O4 was calculated for copper Kα.
Lines closer than 0.1° are merged.

The 10 most intense peaks (2θ = 10–90°), low angle first:
- 2θ = 13.21°, 6.703 Å, I 33
- 2θ = 14.79°, 5.991 Å, I 63
- 2θ = 20.92°, 4.246 Å, I 27
- 2θ = 22.30°, 3.987 Å, I 100
- 2θ = 22.67°, 3.923 Å, I 95
- 2θ = 23.40°, 3.802 Å, I 53
- 2θ = 24.38°, 3.651 Å, I 54
- 2θ = 25.65°, 3.473 Å, I 30
- 2θ = 26.96°, 3.307 Å, I 34
- 2θ = 27.33°, 3.263 Å, I 26

Structure:
```
BeH16C4S2Cl2O4
1.0
8.1337 0.0000 0.0000
2.8516 7.8349 0.0000
1.2549 0.2645 10.7488
Be H C S Cl O
2 32 8 4 4 8
direct
0.1276 0.2250 0.2458 Be
0.8724 0.7750 0.7542 Be
0.0284 0.2836 0.8135 H
0.0926 0.7587 0.0442 H
0.0998 0.0734 0.8871 H
0.1273 0.5561 0.6825 H
0.1557 0.8838 0.5657 H
0.1656 0.7197 0.3893 H
0.1740 0.6716 0.7802 H
0.2504 0.3505 0.3777 H
0.2719 0.0327 0.5739 H
0.2802 0.7304 0.2367 H
0.3574 0.2599 0.8068 H
0.3712 0.3157 0.2434 H
0.3924 0.8058 0.5670 H
0.4027 0.0558 0.8895 H
0.4031 0.6288 0.3653 H
0.4745 0.2207 0.9452 H
0.5255 0.7793 0.0548 H
0.5969 0.3712 0.6347 H
0.5973 0.9442 0.1105 H
0.6076 0.1942 0.4330 H
0.6288 0.6843 0.7566 H
0.6426 0.7401 0.1932 H
0.7198 0.2696 0.7633 H
0.7281 0.9673 0.4261 H
0.7496 0.6495 0.6223 H
0.8260 0.3284 0.2198 H
0.8344 0.2803 0.6107 H
0.8443 0.1162 0.4343 H
0.8727 0.4439 0.3175 H
0.9002 0.9266 0.1129 H
0.9074 0.2413 0.9558 H
0.9716 0.7164 0.1865 H
0.0372 0.2111 0.9023 C
0.2782 0.9102 0.5377 C
0.2856 0.7308 0.3372 C
0.3749 0.1935 0.8979 C
0.6251 0.8065 0.1021 C
0.7144 0.2692 0.6628 C
0.7218 0.0898 0.4623 C
0.9628 0.7889 0.0977 C
0.1725 0.2772 0.9919 S
0.3071 0.9282 0.3725 S
0.6929 0.0718 0.6275 S
0.8275 0.7228 0.0081 S
0.2526 0.3701 0.5636 Cl
0.3821 0.7134 0.8435 Cl
0.6179 0.2866 0.1565 Cl
0.7474 0.6299 0.4364 Cl
0.0748 0.6415 0.7511 O
0.1302 0.0640 0.3386 O
0.1971 0.1520 0.1070 O
0.2497 0.3316 0.2865 O
0.7503 0.6684 0.7135 O
0.8029 0.8480 0.8930 O
0.8698 0.9360 0.6614 O
0.9252 0.3585 0.2489 O
```



Entry 7:
Starting from a structure optimized by DFT (GGA-PBE), the powder diffractogram of MgSb2F12 was calculated for copper Kα.
Lines closer than 0.1° are merged.

The 10 most intense peaks (2θ = 10–90°), low angle first:
- 2θ = 12.11°, 7.311 Å, I 16
- 2θ = 19.30°, 4.598 Å, I 100
- 2θ = 21.25°, 4.182 Å, I 55
- 2θ = 24.35°, 3.656 Å, I 15
- 2θ = 32.53°, 2.752 Å, I 13
- 2θ = 36.12°, 2.487 Å, I 29
- 2θ = 40.01°, 2.253 Å, I 12
- 2θ = 43.27°, 2.091 Å, I 21
- 2θ = 48.69°, 1.870 Å, I 11
- 2θ = 57.60°, 1.600 Å, I 12

Structure:
```
MgSb2F12
1.0
5.9136 0.0000 0.0000
0.0000 5.9136 0.0000
0.0000 0.0000 7.3112
Mg Sb F
1 2 12
direct
0.0000 0.0000 0.0000 Mg
0.0000 0.5000 0.2223 Sb
0.5000 0.0000 0.7777 Sb
0.0000 0.5000 0.4797 F
0.0000 0.5000 0.9631 F
0.2094 0.2490 0.2006 F
0.2094 0.7510 0.2006 F
0.2490 0.2094 0.7994 F
0.2490 0.7906 0.7994 F
0.5000 0.0000 0.0369 F
0.5000 0.0000 0.5203 F
0.7510 0.2094 0.7994 F
0.7510 0.7906 0.7994 F
0.7906 0.2490 0.2006 F
0.7906 0.7510 0.2006 F
```



Entry 8:
Starting from a structure optimized by DFT (GGA-PBE), the powder diffractogram of RbAgSe4 was calculated for copper Kα.
Lines closer than 0.1° are merged.

The 10 most intense peaks (2θ = 10–90°), low angle first:
- 2θ = 11.53°, 7.676 Å, I 50
- 2θ = 16.03°, 5.529 Å, I 74
- 2θ = 24.48°, 3.637 Å, I 53
- 2θ = 25.81°, 3.452 Å, I 69
- 2θ = 27.59°, 3.233 Å, I 50
- 2θ = 27.72°, 3.218 Å, I 100
- 2θ = 31.35°, 2.854 Å, I 73
- 2θ = 31.55°, 2.836 Å, I 46
- 2θ = 32.50°, 2.755 Å, I 89
- 2θ = 42.20°, 2.141 Å, I 44

Structure:
```
RbAgSe4
1.0
5.9033 0.0000 0.0000
0.0000 9.2354 0.0000
0.0000 0.0000 13.8070
Rb Ag Se
4 4 16
direct
0.1820 0.0595 0.3397 Rb
0.3180 0.9405 0.8397 Rb
0.6820 0.4405 0.6603 Rb
0.8180 0.5595 0.1603 Rb
0.0357 0.1314 0.0656 Ag
0.4643 0.8686 0.5656 Ag
0.5357 0.3686 0.9344 Ag
0.9643 0.6314 0.4344 Ag
0.0764 0.5811 0.9248 Se
0.1256 0.6921 0.6099 Se
0.1358 0.3672 0.8262 Se
0.1868 0.8670 0.1045 Se
0.3132 0.1330 0.6045 Se
0.3642 0.6328 0.3262 Se
0.3744 0.3079 0.1099 Se
0.4236 0.4189 0.4248 Se
0.5764 0.9189 0.0752 Se
0.6256 0.8079 0.3901 Se
0.6358 0.1328 0.1738 Se
0.6868 0.6330 0.8955 Se
0.8132 0.3670 0.3955 Se
0.8642 0.8672 0.6738 Se
0.8744 0.1921 0.8901 Se
0.9236 0.0811 0.5752 Se
```



Entry 9:
Starting from a structure optimized by DFT (GGA-PBE), the powder diffractogram of BaCaNb4O12 was calculated for copper Kα.
Lines closer than 0.1° are merged.

The 10 most intense peaks (2θ = 10–90°), low angle first:
- 2θ = 19.10°, 4.647 Å, I 30
- 2θ = 22.09°, 4.025 Å, I 41
- 2θ = 31.43°, 2.846 Å, I 100
- 2θ = 37.04°, 2.427 Å, I 16
- 2θ = 45.05°, 2.012 Å, I 41
- 2θ = 50.72°, 1.800 Å, I 15
- 2θ = 55.96°, 1.643 Å, I 39
- 2θ = 65.61°, 1.423 Å, I 24
- 2θ = 74.54°, 1.273 Å, I 11
- 2θ = 83.14°, 1.162 Å, I 8

Structure:
```
BaCaNb4O12
1.0
4.0241 -4.0280 0.0000
4.0241 4.0280 0.0000
0.0000 0.0000 8.0445
Ba Ca Nb O
1 1 4 12
direct
0.0000 0.0000 0.0000 Ba
0.5000 0.5000 0.5000 Ca
0.0000 0.5000 0.2531 Nb
0.0000 0.5000 0.7469 Nb
0.5000 0.0000 0.2531 Nb
0.5000 0.0000 0.7469 Nb
0.0000 0.5000 0.0000 O
0.0000 0.5000 0.5000 O
0.2452 0.7548 0.2551 O
0.2452 0.7548 0.7449 O
0.2611 0.2611 0.2565 O
0.2611 0.2611 0.7435 O
0.5000 0.0000 0.0000 O
0.5000 0.0000 0.5000 O
0.7389 0.7389 0.2565 O
0.7389 0.7389 0.7435 O
0.7548 0.2452 0.2551 O
0.7548 0.2452 0.7449 O
```



Repeat the sixth record exactly.
Starting from a structure optimized by DFT (GGA-PBE), the powder diffractogram of BeH16C4S2Cl2O4 was calculated for copper Kα.
Lines closer than 0.1° are merged.

The 10 most intense peaks (2θ = 10–90°), low angle first:
- 2θ = 13.21°, 6.703 Å, I 33
- 2θ = 14.79°, 5.991 Å, I 63
- 2θ = 20.92°, 4.246 Å, I 27
- 2θ = 22.30°, 3.987 Å, I 100
- 2θ = 22.67°, 3.923 Å, I 95
- 2θ = 23.40°, 3.802 Å, I 53
- 2θ = 24.38°, 3.651 Å, I 54
- 2θ = 25.65°, 3.473 Å, I 30
- 2θ = 26.96°, 3.307 Å, I 34
- 2θ = 27.33°, 3.263 Å, I 26

Structure:
```
BeH16C4S2Cl2O4
1.0
8.1337 0.0000 0.0000
2.8516 7.8349 0.0000
1.2549 0.2645 10.7488
Be H C S Cl O
2 32 8 4 4 8
direct
0.1276 0.2250 0.2458 Be
0.8724 0.7750 0.7542 Be
0.0284 0.2836 0.8135 H
0.0926 0.7587 0.0442 H
0.0998 0.0734 0.8871 H
0.1273 0.5561 0.6825 H
0.1557 0.8838 0.5657 H
0.1656 0.7197 0.3893 H
0.1740 0.6716 0.7802 H
0.2504 0.3505 0.3777 H
0.2719 0.0327 0.5739 H
0.2802 0.7304 0.2367 H
0.3574 0.2599 0.8068 H
0.3712 0.3157 0.2434 H
0.3924 0.8058 0.5670 H
0.4027 0.0558 0.8895 H
0.4031 0.6288 0.3653 H
0.4745 0.2207 0.9452 H
0.5255 0.7793 0.0548 H
0.5969 0.3712 0.6347 H
0.5973 0.9442 0.1105 H
0.6076 0.1942 0.4330 H
0.6288 0.6843 0.7566 H
0.6426 0.7401 0.1932 H
0.7198 0.2696 0.7633 H
0.7281 0.9673 0.4261 H
0.7496 0.6495 0.6223 H
0.8260 0.3284 0.2198 H
0.8344 0.2803 0.6107 H
0.8443 0.1162 0.4343 H
0.8727 0.4439 0.3175 H
0.9002 0.9266 0.1129 H
0.9074 0.2413 0.9558 H
0.9716 0.7164 0.1865 H
0.0372 0.2111 0.9023 C
0.2782 0.9102 0.5377 C
0.2856 0.7308 0.3372 C
0.3749 0.1935 0.8979 C
0.6251 0.8065 0.1021 C
0.7144 0.2692 0.6628 C
0.7218 0.0898 0.4623 C
0.9628 0.7889 0.0977 C
0.1725 0.2772 0.9919 S
0.3071 0.9282 0.3725 S
0.6929 0.0718 0.6275 S
0.8275 0.7228 0.0081 S
0.2526 0.3701 0.5636 Cl
0.3821 0.7134 0.8435 Cl
0.6179 0.2866 0.1565 Cl
0.7474 0.6299 0.4364 Cl
0.0748 0.6415 0.7511 O
0.1302 0.0640 0.3386 O
0.1971 0.1520 0.1070 O
0.2497 0.3316 0.2865 O
0.7503 0.6684 0.7135 O
0.8029 0.8480 0.8930 O
0.8698 0.9360 0.6614 O
0.9252 0.3585 0.2489 O
```



Please write out number 6 again, unchanged.
Starting from a structure optimized by DFT (GGA-PBE), the powder diffractogram of BeH16C4S2Cl2O4 was calculated for copper Kα.
Lines closer than 0.1° are merged.

The 10 most intense peaks (2θ = 10–90°), low angle first:
- 2θ = 13.21°, 6.703 Å, I 33
- 2θ = 14.79°, 5.991 Å, I 63
- 2θ = 20.92°, 4.246 Å, I 27
- 2θ = 22.30°, 3.987 Å, I 100
- 2θ = 22.67°, 3.923 Å, I 95
- 2θ = 23.40°, 3.802 Å, I 53
- 2θ = 24.38°, 3.651 Å, I 54
- 2θ = 25.65°, 3.473 Å, I 30
- 2θ = 26.96°, 3.307 Å, I 34
- 2θ = 27.33°, 3.263 Å, I 26

Structure:
```
BeH16C4S2Cl2O4
1.0
8.1337 0.0000 0.0000
2.8516 7.8349 0.0000
1.2549 0.2645 10.7488
Be H C S Cl O
2 32 8 4 4 8
direct
0.1276 0.2250 0.2458 Be
0.8724 0.7750 0.7542 Be
0.0284 0.2836 0.8135 H
0.0926 0.7587 0.0442 H
0.0998 0.0734 0.8871 H
0.1273 0.5561 0.6825 H
0.1557 0.8838 0.5657 H
0.1656 0.7197 0.3893 H
0.1740 0.6716 0.7802 H
0.2504 0.3505 0.3777 H
0.2719 0.0327 0.5739 H
0.2802 0.7304 0.2367 H
0.3574 0.2599 0.8068 H
0.3712 0.3157 0.2434 H
0.3924 0.8058 0.5670 H
0.4027 0.0558 0.8895 H
0.4031 0.6288 0.3653 H
0.4745 0.2207 0.9452 H
0.5255 0.7793 0.0548 H
0.5969 0.3712 0.6347 H
0.5973 0.9442 0.1105 H
0.6076 0.1942 0.4330 H
0.6288 0.6843 0.7566 H
0.6426 0.7401 0.1932 H
0.7198 0.2696 0.7633 H
0.7281 0.9673 0.4261 H
0.7496 0.6495 0.6223 H
0.8260 0.3284 0.2198 H
0.8344 0.2803 0.6107 H
0.8443 0.1162 0.4343 H
0.8727 0.4439 0.3175 H
0.9002 0.9266 0.1129 H
0.9074 0.2413 0.9558 H
0.9716 0.7164 0.1865 H
0.0372 0.2111 0.9023 C
0.2782 0.9102 0.5377 C
0.2856 0.7308 0.3372 C
0.3749 0.1935 0.8979 C
0.6251 0.8065 0.1021 C
0.7144 0.2692 0.6628 C
0.7218 0.0898 0.4623 C
0.9628 0.7889 0.0977 C
0.1725 0.2772 0.9919 S
0.3071 0.9282 0.3725 S
0.6929 0.0718 0.6275 S
0.8275 0.7228 0.0081 S
0.2526 0.3701 0.5636 Cl
0.3821 0.7134 0.8435 Cl
0.6179 0.2866 0.1565 Cl
0.7474 0.6299 0.4364 Cl
0.0748 0.6415 0.7511 O
0.1302 0.0640 0.3386 O
0.1971 0.1520 0.1070 O
0.2497 0.3316 0.2865 O
0.7503 0.6684 0.7135 O
0.8029 0.8480 0.8930 O
0.8698 0.9360 0.6614 O
0.9252 0.3585 0.2489 O
```